# 1
This entry pairs a crystal structure of Ce6SiNi4 with its simulated XRD peak list. Radiation: Cu Ka. Structure: DFT lattice parameters and positions (GGA-PBE).
No peak broadening, texture or thermal motion is included.

Crystal structure
Lattice parameters (Å, degrees): 10.4622 10.4622 4.9383 90.00 90.00 120.00
Space group P6_3/m (No. 176)
Unique sites:
Ce1 0.0203 0.7695 0.2500 x6
Ce2 0.1531 0.6155 0.7500 x6
Si1 0.3333 0.6667 0.2500 x2
Ni1 0.0000 0.0000 0.0000 x2
Ni2 0.1206 0.4280 0.2500 x6

Largest 6 diffraction maxima, in order of rising 2θ, 2θ = 10–90°:
2θ = 31.8°, 2.814 Å, I = 100, hkl 1 2 1; 2θ = 35.7°, 2.513 Å, I = 28, hkl 1 3 0; 2θ = 36.4°, 2.469 Å, I = 27, hkl 0 0 2; 2θ = 44.0°, 2.059 Å, I = 15, hkl 4 0 1; 2θ = 45.9°, 1.977 Å, I = 18, hkl 4 1 0; 2θ = 62.6°, 1.484 Å, I = 14, hkl 1 2 3

# 2
This entry pairs a crystal structure of Ce3Si6TcNi2 with its simulated XRD peak list. Radiation: Cu Ka. Structure: DFT lattice parameters and positions (GGA-PBE).
No peak broadening, texture or thermal motion is included.

Crystal structure
Lattice parameters (Å, degrees): 5.9145 5.9145 7.3162 90.00 90.00 120.00
Space group P-3m1 (No. 164)
Unique sites:
Ce1 0.0000 0.0000 0.0000 x1
Ce2 0.3333 0.6667 0.6734 x2
Si1 0.1962 0.3924 0.3098 x6
Tc1 0.0000 0.0000 0.5000 x1
Ni1 0.3333 0.6667 0.0568 x2

Largest 6 diffraction maxima, in order of rising 2θ, 2θ = 10–90°:
2θ = 30.0°, 2.977 Å, I = 69, hkl 0 1 2; 2θ = 30.2°, 2.957 Å, I = 100, hkl 1 1 0; 2θ = 37.2°, 2.417 Å, I = 28, hkl 0 2 1; 2θ = 43.1°, 2.098 Å, I = 47, hkl 2 0 2; 2θ = 53.6°, 1.711 Å, I = 25, hkl 1 2 2; 2θ = 62.8°, 1.479 Å, I = 18, hkl 2 2 0

# 3
This entry pairs a crystal structure of CeSmNi17 with its simulated XRD peak list. Radiation: Cu Ka. Structure: DFT lattice parameters and positions (GGA-PBE).
No peak broadening, texture or thermal motion is included.

Crystal structure
Lattice parameters (Å, degrees): 8.3147 8.3147 12.1027 90.00 90.00 120.00
Space group R3m (No. 160, hexagonal axes)
Unique sites:
Ce1 0.0000 0.0000 0.0000 x3
Sm1 0.0000 0.0000 0.6781 x3
Ni1 0.0000 0.0000 0.2380 x3
Ni2 0.0000 0.0000 0.4364 x3
Ni3 0.0411 0.3733 0.0055 x18
Ni4 0.1671 0.3342 0.5179 x9
Ni5 0.1674 0.3348 0.1727 x9
Ni6 0.1679 0.3358 0.8263 x9

Largest 6 diffraction maxima, in order of rising 2θ, 2θ = 10–90°:
2θ = 30.9°, 2.895 Å, I = 31, hkl 1 1 3; 2θ = 37.5°, 2.400 Å, I = 40, hkl 3 0 0; 2θ = 43.5°, 2.079 Å, I = 63, hkl 2 2 0; 2θ = 43.9°, 2.063 Å, I = 100, hkl 3 0 3; 2θ = 44.9°, 2.017 Å, I = 33, hkl 0 0 6; 2θ = 49.3°, 1.848 Å, I = 28, hkl 2 2 3

# 4
This entry pairs a crystal structure of CeSmNi10 with its simulated XRD peak list. Radiation: Cu Ka. Structure: DFT lattice parameters and positions (GGA-PBE).
No peak broadening, texture or thermal motion is included.

Crystal structure
Lattice parameters (Å, degrees): 3.983 4.910 8.484 90.00 90.00 90.00
Space group Pmmm (No. 47)
Unique sites:
Ce1 0.000 0.000 0.000 x1
Sm1 0.000 0.500 0.500 x1
Ni1 0.000 0.000 0.328 x2
Ni2 0.000 0.500 0.162 x2
Ni3 0.500 0.000 0.500 x1
Ni4 0.500 0.250 0.249 x4
Ni5 0.500 0.500 0.000 x1

Largest 6 diffraction maxima, in order of rising 2θ, 2θ = 10–90°:
2θ = 30.8°, 2.905 Å, I = 47, hkl 1 1 1; 2θ = 36.6°, 2.452 Å, I = 31, hkl 0 2 0; 2θ = 42.6°, 2.124 Å, I = 35, hkl 0 0 4; 2θ = 43.3°, 2.088 Å, I = 100, hkl 1 2 0; 2θ = 45.5°, 1.992 Å, I = 27, hkl 2 0 0; 2θ = 64.1°, 1.453 Å, I = 20, hkl 2 0 4